Simulated PXRD pattern
Compound: PrErHg5
Radiation: Cu Kα (λ = 1.5418 Å)
Structure: a crystal structure in Alexandria, relaxed with PBE
Lines closer than 0.1° are merged.

Atomic structure:
```
data_PrErHg5
_chemical_formula_sum 'Pr2 Er2 Hg10'
_space_group_name_H-M_alt 'C m m m'
_space_group_IT_number 65
_space_group_name_Hall '-C 2 2'
_cell_length_a 6.3848
_cell_length_b 8.6225
_cell_length_c 6.9754
_cell_angle_alpha 90.00
_cell_angle_beta 90.00
_cell_angle_gamma 90.00
loop_
_atom_site_label
_atom_site_fract_x
_atom_site_fract_y
_atom_site_fract_z
Pr1 0.0000 0.0000 0.0000
Er1 0.0000 0.5000 0.5000
Hg1 0.0000 0.0000 0.5000
Hg2 0.2500 0.2500 0.2462
```

Top 12 peaks for 15° ≤ 2θ ≤ 90°, in order of rising 2θ:
d = 2.712 Å, 33.0°, intensity 100.0, (0 2 2); d = 2.566 Å, 35.0°, intensity 86.2, (2 2 0); d = 2.355 Å, 38.2°, intensity 67.8, (2 0 2); d = 2.156 Å, 41.9°, intensity 26.3, (0 4 0); d = 1.744 Å, 52.5°, intensity 13.7, (0 0 4); d = 1.596 Å, 57.8°, intensity 10.4, (4 0 0); d = 1.590 Å, 58.0°, intensity 40.9, (2 4 2); d = 1.442 Å, 64.6°, intensity 29.5, (2 2 4); d = 1.376 Å, 68.2°, intensity 25.4, (4 2 2); d = 1.356 Å, 69.3°, intensity 12.0, (0 4 4); d = 1.329 Å, 70.9°, intensity 12.0, (0 6 2); d = 1.310 Å, 72.1°, intensity 10.9, (2 6 0)